Theoretical powder diffractogram of BaMnO3 for Cu Kα X-rays, from the PBE+U geometry in Alexandria.
Peak positions follow from Bragg's law for the DFT cell and can differ from measured ones.

Principal peaks in the range 10° ≤ 2θ ≤ 90°, low angle first:
- 2θ = 25.80°, rel. 83, hkl 1 0 3
- 2θ = 30.69°, rel. 18, hkl 1 0 4
- 2θ = 31.04°, rel. 100, hkl 1 1 0
- 2θ = 36.10°, rel. 20, hkl 1 0 5
- 2θ = 40.79°, rel. 56, hkl 2 0 3
- 2θ = 48.33°, rel. 15, hkl 2 0 5
- 2θ = 52.13°, rel. 20, hkl 2 1 3
- 2θ = 55.22°, rel. 19, hkl 3 0 0
- 2θ = 58.56°, rel. 12, hkl 2 1 5
- 2θ = 64.71°, rel. 19, hkl 2 2 0

Atomic structure:
```
30
Lattice="5.762 0.000 0.000 -2.881 4.990 0.000 0.000 0.000 14.351" Properties=species:S:1:pos:R:3 pbc="T T T"
Ba 0.000 0.000 0.000
Ba 0.000 0.000 4.761
Ba 0.000 0.000 9.590
Ba 0.000 3.327 2.383
Ba 0.000 3.327 11.968
Ba 2.881 1.663 7.175
Mn 0.000 3.327 5.876
Mn 0.000 3.327 8.474
Mn 2.881 1.663 1.258
Mn 2.881 1.663 3.803
Mn 2.881 1.663 10.547
Mn 2.881 1.663 13.093
O -1.435 2.498 4.815
O -1.435 2.498 9.536
O 0.000 1.879 7.175
O -1.254 4.051 7.175
O 1.607 0.928 2.496
O 1.607 0.928 11.855
O 1.435 2.498 4.815
O 1.435 2.498 9.536
O 0.000 4.984 4.815
O 0.000 4.984 9.536
O 2.881 0.180 0.000
O 1.596 2.405 0.000
O 1.254 4.051 7.175
O 4.155 0.928 2.496
O 4.155 0.928 11.855
O 2.881 3.135 2.496
O 2.881 3.135 11.855
O 4.166 2.405 0.000
```